The following is a computed X-ray diffraction stick pattern of Cs4Sn23. It was derived from a crystal structure in Alexandria, relaxed with GGA-PBE, using λ = 1.5418 Å (Cu Kα).
No peak broadening, texture or thermal motion is included.

Structural model:
```
Cs4Sn23
1.0
12.6930 0.0000 0.0000
0.0000 12.6930 0.0000
0.0000 0.0000 12.6930
Cs Sn
8 46
Cartesian
0.0000 0.0000 0.0000 Cs
0.0000 3.1733 6.3465 Cs
0.0000 9.5198 6.3465 Cs
3.1733 6.3465 0.0000 Cs
6.3465 0.0000 3.1733 Cs
6.3465 0.0000 9.5198 Cs
6.3465 6.3465 6.3465 Cs
9.5198 6.3465 0.0000 Cs
0.0000 3.9022 1.4994 Sn
0.0000 3.9022 11.1936 Sn
0.0000 6.3465 3.1733 Sn
0.0000 6.3465 9.5198 Sn
0.0000 8.7908 1.4994 Sn
0.0000 8.7908 11.1936 Sn
1.4994 0.0000 3.9022 Sn
1.4994 0.0000 8.7908 Sn
2.3378 2.3378 2.3378 Sn
2.3378 2.3378 10.3553 Sn
2.3378 10.3553 2.3378 Sn
2.3378 10.3553 10.3553 Sn
2.4443 6.3465 4.8471 Sn
2.4443 6.3465 7.8459 Sn
3.1733 0.0000 6.3465 Sn
3.9022 1.4994 0.0000 Sn
3.9022 11.1936 0.0000 Sn
4.0087 4.0087 4.0087 Sn
4.0087 4.0087 8.6843 Sn
4.0087 8.6843 4.0087 Sn
4.0087 8.6843 8.6843 Sn
4.8471 2.4443 6.3465 Sn
4.8471 10.2487 6.3465 Sn
6.3465 3.1733 0.0000 Sn
6.3465 4.8471 2.4443 Sn
6.3465 4.8471 10.2487 Sn
6.3465 7.8459 2.4443 Sn
6.3465 7.8459 10.2487 Sn
6.3465 9.5198 0.0000 Sn
7.8459 2.4443 6.3465 Sn
7.8459 10.2487 6.3465 Sn
8.6843 4.0087 4.0087 Sn
8.6843 4.0087 8.6843 Sn
8.6843 8.6843 4.0087 Sn
8.6843 8.6843 8.6843 Sn
8.7908 1.4994 0.0000 Sn
8.7908 11.1936 0.0000 Sn
9.5198 0.0000 6.3465 Sn
10.2487 6.3465 4.8471 Sn
10.2487 6.3465 7.8459 Sn
10.3553 2.3378 2.3378 Sn
10.3553 2.3378 10.3553 Sn
10.3553 10.3553 2.3378 Sn
10.3553 10.3553 10.3553 Sn
11.1936 0.0000 3.9022 Sn
11.1936 0.0000 8.7908 Sn
```

Largest 6 diffraction maxima, in order of rising 2θ, 5° ≤ 2θ ≤ 70°:
24.29°, I = 31
25.30°, I = 36
26.27°, I = 100
41.48°, I = 58
42.74°, I = 25
43.97°, I = 56


The following is a computed X-ray diffraction stick pattern of Er7Cu2Os2. It was derived from a crystal structure in Alexandria, relaxed with GGA-PBE, using λ = 1.5418 Å (Cu Kα).
No peak broadening, texture or thermal motion is included.

Structural model:
```
Er7Cu2Os2
1.0
3.7379 -5.3242 0.0000
3.7379 5.3242 0.0000
0.0000 0.0000 7.0311
Er Cu Os
7 2 2
Cartesian
0.0000 0.0000 0.0000 Er
1.8690 2.6621 1.8767 Er
1.8690 2.6621 5.1545 Er
1.8690 -2.6621 1.8767 Er
1.8690 -2.6621 5.1545 Er
3.7379 0.0000 1.7821 Er
3.7379 0.0000 5.2490 Er
1.2637 0.0000 3.5156 Cu
6.2122 0.0000 3.5156 Cu
3.7379 2.1405 0.0000 Os
3.7379 -2.1405 0.0000 Os
```

Largest 6 diffraction maxima, in order of rising 2θ, 5° ≤ 2θ ≤ 70°:
27.02°, I = 42
29.19°, I = 47
29.30°, I = 31
33.67°, I = 53
37.98°, I = 56
39.03°, I = 100


The following is a computed X-ray diffraction stick pattern of SmRh2Pb. It was derived from a crystal structure in Alexandria, relaxed with GGA-PBE, using λ = 1.5418 Å (Cu Kα).
No peak broadening, texture or thermal motion is included.

Structural model:
```
SmRh2Pb
1.0
4.5930 0.0000 0.0000
0.0000 4.5930 0.0000
0.0000 0.0000 3.7687
Sm Rh Pb
1 2 1
Cartesian
0.0000 0.0000 0.0000 Sm
0.0000 2.2965 1.8843 Rh
2.2965 0.0000 1.8843 Rh
2.2965 2.2965 0.0000 Pb
```

Largest 6 diffraction maxima, in order of rising 2θ, 5° ≤ 2θ ≤ 70°:
36.52°, I = 100
39.23°, I = 41
48.30°, I = 11
56.69°, I = 14
63.91°, I = 20
69.34°, I = 31


The following is a computed X-ray diffraction stick pattern of Cu3I2Br2. It was derived from a crystal structure in Alexandria, relaxed with GGA-PBE, using λ = 1.5418 Å (Cu Kα).
No peak broadening, texture or thermal motion is included.

Structural model:
```
Cu3I2Br2
1.0
3.7156 0.0000 0.0000
0.0028 3.8537 0.0000
1.6127 0.7617 13.4483
Cu I Br
3 2 2
Cartesian
0.0000 0.0000 0.0000 Cu
1.8895 3.3612 4.0186 Cu
3.4416 1.2543 9.4297 Cu
1.5940 3.2092 8.7339 I
3.7371 1.4063 4.7144 I
1.8697 3.2159 1.5381 Br
3.4614 1.3996 11.9102 Br
```

Largest 6 diffraction maxima, in order of rising 2θ, 5° ≤ 2θ ≤ 70°:
19.81°, I = 100
26.02°, I = 63
29.47°, I = 32
33.57°, I = 86
33.91°, I = 35
49.04°, I = 29